The following is a computed PXRD pattern of TeI4. It was derived from a PBE-relaxed structure, using CuKα.

Top 10 peaks for 10° ≤ 2θ ≤ 90°, in order of falling intensity:
2θ (°)  Rel. int.
26.51  100
27.66  40
34.07  37
26.99  34
42.22  34
45.23  27
24.70  27
12.28  22
50.44  21
50.64  19

Crystal structure
Lattice parameters (Å, degrees): 8.2561 8.2561 7.3726 114.15 114.15 30.69
Atoms (fractional coordinates):
Te 0.0000 0.0000 0.0000
I 0.1236 0.1236 0.8057
I 0.3818 0.3818 0.7117
I 0.6182 0.6182 0.2883
I 0.8764 0.8764 0.1943